Cs3V2F9: simulated XRD peak list (Cu Kα (weighted mean of Kα1 and Kα2)), based on a PBE+U-relaxed structure.
Neutral-atom scattering factors, no anomalous dispersion.

```
data_Cs3V2F9
_symmetry_space_group_name_H-M 'R -3 c'
_symmetry_Int_Tables_number 167
_symmetry_space_group_name_Hall '-R 3 2"c'
_cell_length_a 11.1727
_cell_length_b 11.1727
_cell_length_c 15.3227
_cell_angle_alpha 90.00
_cell_angle_beta 90.00
_cell_angle_gamma 120.00
loop_
_atom_site_label
_atom_site_fract_x
_atom_site_fract_y
_atom_site_fract_z
Cs1 0.0000 0.3436 0.2500
V1 0.0000 0.0000 0.1538
F1 0.0000 0.1324 0.7500
F2 0.0025 0.1534 0.4043
```

Main lines, by angle (2θ from 10° to 90°):
2θ 23.60, I = 100, hkl 1 1 3
2θ 27.66, I = 72, hkl 3 0 0
2θ 35.14, I = 14, hkl 0 0 6
2θ 36.67, I = 79, hkl 2 2 3
2θ 38.77, I = 16, hkl 1 1 6
2θ 46.54, I = 24, hkl 1 4 3
2θ 48.29, I = 19, hkl 2 2 6
2θ 56.54, I = 27, hkl 1 1 9
2θ 57.12, I = 16, hkl 6 0 0
2θ 62.66, I = 15, hkl 5 2 3